[1]
Structure and calculated XRD peak list of Nd5Er6Th2 (a GGA-PBE-relaxed structure; a wavelength of 1.5418 Å).
Intensities are scaled so that the largest is 100.

Cell lengths 11.5399, 20.9360, 3.5835 Å; angles 90.00, 90.00, 90.00 degrees
Space group Pbam (No. 55)
Inequivalent atoms, fractional coordinates:
Nd (0.0000, 0.0000, 0.0000) (multiplicity 2)
Nd (0.0646, 0.2944, 0.0000) (multiplicity 4)
Nd (0.1919, 0.5773, 0.0000) (multiplicity 4)
Er (0.0619, 0.1478, 0.5000) (multiplicity 4)
Er (0.0806, 0.4375, 0.5000) (multiplicity 4)
Er (0.1866, 0.8769, 0.0000) (multiplicity 4)
Th (0.1885, 0.7364, 0.5000) (multiplicity 4)

Principal peaks in the range 2θ from 15° to 90°, in order of falling intensity:
31.28 deg, I 100, hkl 4 1 0
32.08 deg, I 78, hkl 2 3 1
34.07 deg, I 55, hkl 2 4 1
30.89 deg, I 50, hkl 1 7 0
29.06 deg, I 28, hkl 1 3 1
34.71 deg, I 21, hkl 3 6 0


[2]
Structure and calculated XRD peak list of MnPtC6N6 (a GGA-PBE-relaxed structure; a wavelength of 1.5418 Å).
Intensities are scaled so that the largest is 100.

Cell lengths 10.2346, 10.2346, 10.2346 Å; angles 90.00, 90.00, 90.00 degrees
Space group Fm-3m (No. 225)
Inequivalent atoms, fractional coordinates:
Mn (0.0000, 0.0000, 0.0000) (multiplicity 4)
Pt (0.0000, 0.0000, 0.5000) (multiplicity 4)
C (0.0000, 0.0000, 0.3027) (multiplicity 24)
N (0.0000, 0.0000, 0.1888) (multiplicity 24)

Principal peaks in the range 2θ from 15° to 90°, in order of falling intensity:
17.33 deg, I 100, hkl 2 0 0
24.60 deg, I 41, hkl 2 2 0
39.37 deg, I 35, hkl 4 2 0
35.07 deg, I 21, hkl 4 0 0
28.93 deg, I 20, hkl 3 1 1
53.74 deg, I 16, hkl 6 0 0


[3]
Structure and calculated XRD peak list of LiGe5Pd3 (a GGA-PBE-relaxed structure; a wavelength of 1.5418 Å).
Intensities are scaled so that the largest is 100.

Cell lengths 8.5393, 8.6975, 9.7270 Å; angles 90.00, 109.47, 90.00 degrees
Space group C2/m (No. 12)
Inequivalent atoms, fractional coordinates:
Li (0.2453, 0.0000, 0.2505) (multiplicity 4)
Ge (0.0000, 0.2876, 0.0000) (multiplicity 4)
Ge (0.0615, 0.2590, 0.3738) (multiplicity 8)
Ge (0.1946, 0.0000, 0.5246) (multiplicity 4)
Ge (0.2140, 0.5000, 0.0193) (multiplicity 4)
Pd (0.0000, 0.0000, 0.0000) (multiplicity 2)
Pd (0.0000, 0.5000, 0.5000) (multiplicity 2)
Pd (0.0651, 0.5000, 0.2253) (multiplicity 4)
Pd (0.0665, 0.0000, 0.7247) (multiplicity 4)

Principal peaks in the range 2θ from 15° to 90°, in order of falling intensity:
37.94 deg, I 100, hkl 3 1 -3
22.08 deg, I 100, hkl 2 0 0
39.36 deg, I 98, hkl 3 1 1
20.42 deg, I 89, hkl 0 2 0
41.53 deg, I 89, hkl 0 4 0
44.68 deg, I 81, hkl 0 2 4


[4]
Structure and calculated XRD peak list of Er4Ni13B4 (a GGA-PBE-relaxed structure; a wavelength of 1.5418 Å).
Intensities are scaled so that the largest is 100.

Cell lengths 11.9120, 12.1365, 3.8716 Å; angles 90.00, 90.00, 90.00 degrees
Space group Cmmm (No. 65)
Inequivalent atoms, fractional coordinates:
Er (0.0000, 0.1892, 0.0000) (multiplicity 4)
Er (0.1509, 0.5000, 0.0000) (multiplicity 4)
Ni (0.0000, 0.0000, 0.5000) (multiplicity 2)
Ni (0.1051, 0.3147, 0.5000) (multiplicity 8)
Ni (0.1230, 0.0000, 0.0000) (multiplicity 4)
Ni (0.1817, 0.1051, 0.5000) (multiplicity 8)
Ni (0.2500, 0.2500, 0.0000) (multiplicity 4)
B (0.0000, 0.4354, 0.5000) (multiplicity 4)
B (0.2500, 0.2500, 0.5000) (multiplicity 4)

Principal peaks in the range 2θ from 15° to 90°, in order of falling intensity:
41.03 deg, I 100, hkl 4 2 1
32.89 deg, I 73, hkl 1 3 1
46.94 deg, I 42, hkl 0 0 2
43.71 deg, I 40, hkl 3 5 0
37.67 deg, I 40, hkl 0 4 1
33.15 deg, I 40, hkl 3 1 1


[5]
Structure and calculated XRD peak list of Ce2SbRh3 (a GGA-PBE-relaxed structure; a wavelength of 1.5418 Å).
Intensities are scaled so that the largest is 100.

Cell lengths 5.6835, 5.6835, 12.5168 Å; angles 90.00, 90.00, 120.00 degrees
Space group R-3m (No. 166, hexagonal axes)
Inequivalent atoms, fractional coordinates:
Ce (0.0000, 0.0000, 0.1173) (multiplicity 6)
Sb (0.0000, 0.0000, 0.5000) (multiplicity 3)
Rh (0.0000, 0.5000, 0.0000) (multiplicity 9)

Principal peaks in the range 2θ from 15° to 90°, in order of falling intensity:
38.32 deg, I 100, hkl 1 1 3
39.34 deg, I 65, hkl 2 0 2
40.42 deg, I 60, hkl 0 1 5
37.23 deg, I 57, hkl 0 2 1
31.48 deg, I 48, hkl 1 1 0
62.18 deg, I 39, hkl 1 2 5


[6]
Structure and calculated XRD peak list of Dy4Tl2Hg3 (a GGA-PBE-relaxed structure; a wavelength of 1.5418 Å).
Intensities are scaled so that the largest is 100.

Cell lengths 8.9838, 5.1770, 10.2224 Å; angles 90.00, 90.13, 90.00 degrees
Space group C2/m (No. 12)
Inequivalent atoms, fractional coordinates:
Dy (0.0000, 0.0000, 0.1694) (multiplicity 4)
Dy (0.1667, 0.5000, 0.3842) (multiplicity 4)
Tl (0.1665, 0.5000, 0.7139) (multiplicity 4)
Hg (0.0000, 0.0000, 0.5000) (multiplicity 2)
Hg (0.1666, 0.5000, 0.0607) (multiplicity 4)

Principal peaks in the range 2θ from 15° to 90°, in order of falling intensity:
33.01 deg, I 100, hkl 2 0 3
34.62 deg, I 89, hkl 3 1 0
61.02 deg, I 35, hkl 5 1 3
48.63 deg, I 23, hkl 2 2 3
57.89 deg, I 20, hkl 1 1 6
62.04 deg, I 17, hkl 6 0 0


[7]
Structure and calculated XRD peak list of La5Bi4Te (a GGA-PBE-relaxed structure; a wavelength of 1.5418 Å).
Intensities are scaled so that the largest is 100.

Cell lengths 4.6862, 6.6196, 23.4049 Å; angles 90.00, 90.00, 90.00 degrees
Space group Immm (No. 71)
Inequivalent atoms, fractional coordinates:
La (0.0000, 0.0000, 0.0000) (multiplicity 2)
La (0.0000, 0.0000, 0.2002) (multiplicity 4)
La (0.0000, 0.0000, 0.3992) (multiplicity 4)
Bi (0.0000, 0.5000, 0.1993) (multiplicity 4)
Bi (0.0000, 0.5000, 0.4007) (multiplicity 4)
Te (0.0000, 0.5000, 0.0000) (multiplicity 2)

Principal peaks in the range 2θ from 15° to 90°, in order of falling intensity:
26.93 deg, I 100, hkl 1 0 5
38.45 deg, I 79, hkl 2 0 0
62.75 deg, I 38, hkl 3 0 5
47.57 deg, I 29, hkl 2 2 0
69.54 deg, I 28, hkl 3 2 5
55.51 deg, I 14, hkl 2 0 10


[8]
Structure and calculated XRD peak list of Nd3Te3H2 (a GGA-PBE-relaxed structure; a wavelength of 1.5418 Å).
Intensities are scaled so that the largest is 100.

Cell lengths 4.1351, 11.4934, 16.5588 Å; angles 90.00, 90.00, 90.00 degrees
Space group Cmcm (No. 63)
Inequivalent atoms, fractional coordinates:
Nd (0.0000, 0.1296, 0.2500) (multiplicity 4)
Nd (0.0000, 0.1490, 0.5613) (multiplicity 8)
Te (0.0000, 0.1589, 0.7500) (multiplicity 4)
Te (0.0000, 0.4340, 0.6034) (multiplicity 8)
H (0.0000, 0.2685, 0.0509) (multiplicity 8)

Principal peaks in the range 2θ from 15° to 90°, in order of falling intensity:
31.57 deg, I 100, hkl 1 1 4
31.84 deg, I 95, hkl 1 3 0
28.06 deg, I 72, hkl 1 1 3
35.86 deg, I 59, hkl 1 3 3
32.44 deg, I 55, hkl 0 0 6
31.14 deg, I 52, hkl 0 4 0


[9]
Structure and calculated XRD peak list of NaGa11O18 (a GGA-PBE-relaxed structure; a wavelength of 1.5418 Å).
Intensities are scaled so that the largest is 100.

Cell lengths 8.7054, 9.0700, 9.5479 Å; angles 90.00, 115.71, 90.00 degrees
Space group P2_1/m (No. 11)
Inequivalent atoms, fractional coordinates:
Na (0.0272, 0.2500, 0.0650) (multiplicity 2)
Ga (0.0069, 0.7500, 0.3636) (multiplicity 2)
Ga (0.0146, 0.0852, 0.3602) (multiplicity 4)
Ga (0.2897, 0.5780, 0.2557) (multiplicity 4)
Ga (0.3199, 0.0759, 0.9470) (multiplicity 4)
Ga (0.3309, 0.7500, 0.9531) (multiplicity 2)
Ga (0.3521, 0.2500, 0.4608) (multiplicity 2)
Ga (0.3691, 0.5760, 0.6512) (multiplicity 4)
O (0.1045, 0.0828, 0.7643) (multiplicity 4)
O (0.1117, 0.7500, 0.7737) (multiplicity 2)
O (0.1355, 0.5849, 0.5221) (multiplicity 4)
O (0.1390, 0.2500, 0.5084) (multiplicity 2)
O (0.1846, 0.7500, 0.2787) (multiplicity 2)
O (0.2088, 0.0935, 0.3052) (multiplicity 4)
O (0.2565, 0.5844, 0.0489) (multiplicity 4)
O (0.2728, 0.2500, 0.0395) (multiplicity 2)
O (0.4187, 0.5788, 0.8640) (multiplicity 4)
O (0.4239, 0.2500, 0.8888) (multiplicity 2)
O (0.4667, 0.7500, 0.6161) (multiplicity 2)
O (0.4733, 0.0911, 0.6188) (multiplicity 4)

Principal peaks in the range 2θ from 15° to 90°, in order of falling intensity:
35.00 deg, I 100, hkl 3 0 -3
36.18 deg, I 88, hkl 2 3 -1
31.18 deg, I 72, hkl 0 0 3
34.30 deg, I 64, hkl 3 0 0
36.32 deg, I 58, hkl 0 3 2
58.41 deg, I 56, hkl 3 3 -5


[10]
Structure and calculated XRD peak list of Nd5Tl2Sn (a GGA-PBE-relaxed structure; a wavelength of 1.5418 Å).
Intensities are scaled so that the largest is 100.

Cell lengths 8.7087, 8.7087, 13.3117 Å; angles 90.00, 90.00, 90.00 degrees
Space group I4/mcm (No. 140)
Inequivalent atoms, fractional coordinates:
Nd (0.0000, 0.0000, 0.0000) (multiplicity 4)
Nd (0.1600, 0.3400, 0.1520) (multiplicity 16)
Tl (0.1389, 0.3611, 0.5000) (multiplicity 8)
Sn (0.0000, 0.0000, 0.2500) (multiplicity 4)

Principal peaks in the range 2θ from 15° to 90°, in order of falling intensity:
30.54 deg, I 100, hkl 2 1 3
32.51 deg, I 49, hkl 3 1 0
60.98 deg, I 23, hkl 5 2 3
47.69 deg, I 12, hkl 4 1 3
33.90 deg, I 10, hkl 2 0 4
53.00 deg, I 10, hkl 3 1 6


[11]
Structure and calculated XRD peak list of Be16Tc2Ni (a GGA-PBE-relaxed structure; a wavelength of 1.5418 Å).
Intensities are scaled so that the largest is 100.

Cell lengths 7.2452, 7.2452, 10.6560 Å; angles 90.00, 90.00, 120.00 degrees
Space group R3m (No. 160, hexagonal axes)
Inequivalent atoms, fractional coordinates:
Be (0.0000, 0.0000, 0.1080) (multiplicity 3)
Be (0.0032, 0.5016, 0.5010) (multiplicity 9)
Be (0.0061, 0.5031, 0.1539) (multiplicity 9)
Be (0.0298, 0.3626, 0.6667) (multiplicity 18)
Be (0.1720, 0.3440, 0.1805) (multiplicity 9)
Tc (0.0000, 0.0000, 0.3348) (multiplicity 3)
Tc (0.0000, 0.0000, 0.6612) (multiplicity 3)
Ni (0.0000, 0.0000, 0.9108) (multiplicity 3)

Principal peaks in the range 2θ from 15° to 90°, in order of falling intensity:
24.57 deg, I 100, hkl 1 1 0
35.39 deg, I 57, hkl 1 1 3
43.26 deg, I 32, hkl 3 0 0
50.65 deg, I 30, hkl 0 3 3
50.38 deg, I 24, hkl 2 2 0
25.07 deg, I 20, hkl 0 0 3